Simulated X-ray powder pattern of Na2CrNiF7 for copper Kα, from the GGA+U geometry in the Materials Project.

Main lines, most intense first (5 to 70 degrees two-theta):
- 2θ = 29.3°, intensity 100
- 2θ = 30.0°, intensity 88
- 2θ = 49.4°, intensity 83
- 2θ = 14.5°, intensity 64
- 2θ = 57.9°, intensity 37
- 2θ = 16.9°, intensity 32

Cell lengths 7.3826, 7.3826, 7.3826 Å; angles 120.90, 90.38, 118.67 degrees
Positions (direct):
1 Na 0.0000 0.0000 0.0000
2 Na 0.5000 0.0000 0.0000
3 Na 0.5000 0.0000 0.5000
4 Na 0.5000 0.5000 0.5000
5 Cr 0.0000 0.5000 0.5000
6 Cr 0.5000 0.5000 0.0000
7 Ni 0.0000 0.0000 0.5000
8 Ni 0.0000 0.5000 0.0000
9 F 0.0527 0.2379 0.4170
10 F 0.0527 0.6357 0.8148
11 F 0.1058 0.8558 0.2500
12 F 0.3198 0.7292 0.5906
13 F 0.3209 0.2379 0.6852
14 F 0.3209 0.6357 0.0830
15 F 0.3614 0.2708 0.0906
16 F 0.6386 0.7292 0.9094
17 F 0.6791 0.3643 0.9170
18 F 0.6791 0.7621 0.3148
19 F 0.6802 0.2708 0.4094
20 F 0.8942 0.1442 0.7500
21 F 0.9473 0.3643 0.1852
22 F 0.9473 0.7621 0.5830

=====

Simulated X-ray powder pattern of Na3Cr2P2O8F3 for copper Kα, from the GGA+U geometry in the Materials Project.

Main lines, most intense first (5 to 70 degrees two-theta):
- 2θ = 27.7°, intensity 100
- 2θ = 16.2°, intensity 46
- 2θ = 16.0°, intensity 31
- 2θ = 32.2°, intensity 29
- 2θ = 32.4°, intensity 25
- 2θ = 28.3°, intensity 25

Cell lengths 6.4304, 6.4335, 16.9540 Å; angles 100.67, 100.59, 90.05 degrees
Positions (direct):
1 Na 0.0000 0.0000 0.0000
2 Na 0.0035 0.3950 0.3325
3 Na 0.1375 0.5441 0.0005
4 Na 0.2435 0.3946 0.6715
5 Na 0.4942 0.9790 0.6686
6 Na 0.5462 0.6623 0.3336
7 Na 0.5945 0.1234 0.3329
8 Na 0.6509 0.5128 0.9966
9 Na 0.9805 0.8783 0.6659
10 Cr 0.1017 0.9542 0.4539
11 Cr 0.3121 0.1634 0.8780
12 Cr 0.4410 0.2837 0.1197
13 Cr 0.6566 0.4955 0.5483
14 Cr 0.7724 0.6195 0.7892
15 Cr 0.9799 0.8330 0.2109
16 P 0.1292 0.4802 0.5045
17 P 0.2901 0.6526 0.8362
18 P 0.4543 0.8101 0.1648
19 P 0.6236 0.9771 0.5008
20 P 0.7895 0.1489 0.8342
21 P 0.9521 0.3113 0.1600
22 O 0.0072 0.1942 0.8925
23 O 0.0772 0.6047 0.7742
24 O 0.0905 0.6406 0.4463
25 O 0.0950 0.2615 0.4467
26 O 0.1222 0.2958 0.1058
27 O 0.2895 0.8663 0.8947
28 O 0.2976 0.8227 0.2251
29 O 0.3310 0.4846 0.8919
30 O 0.3513 0.5081 0.5584
31 O 0.4071 0.9387 0.4410
32 O 0.4099 0.9722 0.1082
33 O 0.4410 0.5916 0.1066
34 O 0.4580 0.6437 0.7814
35 O 0.6279 0.1603 0.8920
36 O 0.6449 0.1924 0.5595
37 O 0.6616 0.8149 0.5589
38 O 0.6721 0.8481 0.2235
39 O 0.7390 0.2748 0.0990
40 O 0.7428 0.3055 0.7750
41 O 0.7815 0.9290 0.7771
42 O 0.7822 0.9520 0.4412
43 O 0.9666 0.5276 0.2188
44 O 0.9768 0.5088 0.5668
45 O 0.9827 0.1475 0.2171
46 F 0.0266 0.8969 0.3324
47 F 0.1682 0.0113 0.5742
48 F 0.2587 0.1059 0.7582
49 F 0.3628 0.2392 0.9988
50 F 0.5170 0.3442 0.2387
51 F 0.6229 0.4379 0.4289
52 F 0.7003 0.5750 0.6688
53 F 0.8454 0.6670 0.9089
54 F 0.9372 0.7665 0.0908

=====

Simulated X-ray powder pattern of Rb2NaCrF6 for copper Kα, from the GGA+U geometry in the Materials Project.

Main lines, most intense first (5 to 70 degrees two-theta):
- 2θ = 29.4°, intensity 100
- 2θ = 42.1°, intensity 52
- 2θ = 52.2°, intensity 37
- 2θ = 36.2°, intensity 36
- 2θ = 61.0°, intensity 30
- 2θ = 69.1°, intensity 18

Cell lengths 6.0754, 6.0754, 6.0754 Å; angles 60.00, 60.00, 60.00 degrees
Positions (direct):
1 Rb 0.2500 0.2500 0.2500
2 Rb 0.7500 0.7500 0.7500
3 Na 0.0000 0.0000 0.0000
4 Cr 0.5000 0.5000 0.5000
5 F 0.2718 0.2718 0.7282
6 F 0.2718 0.7282 0.2718
7 F 0.2718 0.7282 0.7282
8 F 0.7282 0.2718 0.2718
9 F 0.7282 0.2718 0.7282
10 F 0.7282 0.7282 0.2718